Computed powder XRD pattern of NaLiVO4 for copper Kα, from a cell relaxed with PBE+U.

Structure:
Unit cell a=5.597 b=5.597 c=5.597 alpha=124.16 beta=124.16 gamma=82.94
Sites, in units of the cell vectors:
Na  0.000  0.000  0.000
Li  0.500  0.500  0.000
V  0.250  0.750  0.500
O  0.217  0.661  0.129
O  0.339  0.468  0.556
O  0.532  0.088  0.871
O  0.912  0.783  0.444

Largest 6 diffraction maxima, sorted by position, 2θ from 10° to 90°:
2θ (°), intensity
19.98, 100
32.23, 54
39.93, 19
50.83, 14
56.18, 14
60.02, 11